# 1
This entry pairs a crystal structure of Th2AsSe2 with its simulated powder diffractogram. Radiation: CuKα. Structure: the PBE geometry in the Materials Project.
Lines closer than 0.1° are merged.

Structure:
```
Th2AsSe2
1.0
3.2740 0.0000 0.0000
0.0000 3.2740 0.0000
0.0000 0.0000 15.8122
Th As Se
2 1 2
direct
0.0000 0.0000 0.1875
0.0000 0.0000 0.8125
0.0000 0.0000 0.0000
0.0000 0.0000 0.3615
0.0000 0.0000 0.6385
```

Largest 10 diffraction maxima, low angle first, 10° ≤ 2θ ≤ 90°:
| 2θ (°) | d_spacing | I (rel.) |
| --- | --- | --- |
| 11.19 | 7.906 | 55 |
| 27.24 | 3.274 | 100 |
| 28.22 | 3.162 | 29 |
| 29.53 | 3.025 | 24 |
| 38.90 | 2.315 | 39 |
| 39.62 | 2.275 | 48 |
| 44.11 | 2.053 | 26 |
| 48.75 | 1.868 | 27 |
| 63.54 | 1.464 | 19 |
| 70.93 | 1.329 | 18 |

***

# 2
This entry pairs a crystal structure of Tl3AsSe4 with its simulated powder diffractogram. Radiation: CuKα. Structure: the PBE geometry in the Materials Project.
Lines closer than 0.1° are merged.

Structure:
```
Tl3AsSe4
1.0
9.3240 0.0000 0.0000
0.0000 11.5348 0.0000
0.0000 0.0000 9.7270
Tl As Se
12 4 16
direct
0.0651 0.0549 0.1954
0.0651 0.4451 0.1954
0.1045 0.7500 0.3894
0.3955 0.2500 0.8894
0.4349 0.5549 0.6954
0.4349 0.9451 0.6954
0.5651 0.0549 0.3046
0.5651 0.4451 0.3046
0.6045 0.7500 0.1106
0.8955 0.2500 0.6106
0.9349 0.5549 0.8046
0.9349 0.9451 0.8046
0.2227 0.7500 0.9709
0.2773 0.2500 0.4709
0.7227 0.7500 0.5291
0.7773 0.2500 0.0291
0.0076 0.2500 0.9301
0.1460 0.0818 0.5302
0.1460 0.4182 0.5302
0.1919 0.7500 0.7282
0.3081 0.2500 0.2282
0.3540 0.5818 0.0302
0.3540 0.9182 0.0302
0.4924 0.7500 0.4301
0.5076 0.2500 0.5699
0.6460 0.0818 0.9698
0.6460 0.4182 0.9698
0.6919 0.7500 0.7718
0.8081 0.2500 0.2718
0.8540 0.5818 0.4698
0.8540 0.9182 0.4698
0.9924 0.7500 0.0699
```

Largest 10 diffraction maxima, low angle first, 10° ≤ 2θ ≤ 90°:
| 2θ (°) | d_spacing | I (rel.) |
| --- | --- | --- |
| 21.13 | 4.204 | 34 |
| 22.01 | 4.039 | 23 |
| 24.90 | 3.576 | 31 |
| 25.80 | 3.454 | 24 |
| 28.60 | 3.121 | 27 |
| 30.15 | 2.964 | 100 |
| 31.53 | 2.837 | 36 |
| 33.12 | 2.705 | 39 |
| 37.20 | 2.417 | 22 |
| 37.72 | 2.385 | 23 |

***

# 3
This entry pairs a crystal structure of Tl3AsSe3 with its simulated powder diffractogram. Radiation: CuKα. Structure: the PBE geometry in the Materials Project.
Lines closer than 0.1° are merged.

Structure:
```
Tl3AsSe3
1.0
5.1354 2.9649 2.4116
-5.1354 2.9649 2.4116
0.0000 -5.9299 2.4116
Tl As Se
3 1 3
direct
0.1990 0.1990 0.6019
0.1990 0.6019 0.1990
0.6019 0.1990 0.1990
0.7461 0.7461 0.7461
0.1376 0.7673 0.7673
0.7673 0.1376 0.7673
0.7673 0.7673 0.1376
```

Largest 10 diffraction maxima, low angle first, 10° ≤ 2θ ≤ 90°:
| 2θ (°) | d_spacing | I (rel.) |
| --- | --- | --- |
| 23.48 | 3.789 | 65 |
| 26.60 | 3.351 | 40 |
| 29.29 | 3.049 | 21 |
| 30.14 | 2.965 | 100 |
| 31.89 | 2.806 | 91 |
| 34.94 | 2.568 | 34 |
| 36.49 | 2.463 | 32 |
| 48.67 | 1.871 | 24 |
| 51.41 | 1.777 | 45 |
| 80.04 | 1.199 | 20 |

***

# 4
This entry pairs a crystal structure of U2AsSe with its simulated powder diffractogram. Radiation: CuKα. Structure: the PBE geometry in the Materials Project.
Lines closer than 0.1° are merged.

Structure:
```
U2AsSe
1.0
6.4614 -2.8900 0.0000
6.4614 2.8900 0.0000
-2.5750 0.0000 5.1694
U As Se
4 2 2
direct
0.1242 0.1242 0.3705
0.3738 0.3738 0.1196
0.6262 0.6262 0.8804
0.8758 0.8758 0.6295
0.1247 0.1247 0.8696
0.8753 0.8753 0.1304
0.3751 0.3751 0.6271
0.6249 0.6249 0.3729
```

Largest 10 diffraction maxima, low angle first, 10° ≤ 2θ ≤ 90°:
| 2θ (°) | d_spacing | I (rel.) |
| --- | --- | --- |
| 26.72 | 3.337 | 44 |
| 30.94 | 2.890 | 100 |
| 44.33 | 2.043 | 75 |
| 52.51 | 1.743 | 23 |
| 55.04 | 1.668 | 27 |
| 64.46 | 1.445 | 8 |
| 71.10 | 1.326 | 10 |
| 73.22 | 1.293 | 27 |
| 73.30 | 1.291 | 9 |
| 81.59 | 1.180 | 23 |

***

# 5
This entry pairs a crystal structure of U2As3Se with its simulated powder diffractogram. Radiation: CuKα. Structure: the PBE geometry in the Materials Project.
Lines closer than 0.1° are merged.

Structure:
```
U2As3Se
1.0
3.9787 0.0000 0.0000
0.0000 3.9787 0.0000
0.0000 0.0000 8.1715
U As Se
2 3 1
direct
0.0000 0.0000 0.0000
0.5000 0.5000 0.4410
0.0000 0.5000 0.7215
0.5000 0.0000 0.7215
0.5000 0.5000 0.0796
0.0000 0.0000 0.3595
```

Largest 10 diffraction maxima, low angle first, 10° ≤ 2θ ≤ 90°:
| 2θ (°) | d_spacing | I (rel.) |
| --- | --- | --- |
| 21.75 | 4.086 | 25 |
| 24.89 | 3.577 | 88 |
| 31.81 | 2.813 | 48 |
| 32.88 | 2.724 | 30 |
| 33.69 | 2.660 | 46 |
| 38.87 | 2.317 | 100 |
| 40.12 | 2.248 | 53 |
| 45.60 | 1.989 | 51 |
| 62.33 | 1.490 | 30 |
| 79.72 | 1.203 | 39 |

***

# 6
This entry pairs a crystal structure of U2AsSe with its simulated powder diffractogram. Radiation: CuKα. Structure: the PBE geometry in the Materials Project.
Lines closer than 0.1° are merged.

Structure:
```
U2AsSe
1.0
3.5166 0.0000 0.0000
0.0000 3.5166 0.0000
0.0000 0.0000 7.1282
U As Se
2 1 1
direct
0.0000 0.0000 0.2429
0.0000 0.0000 0.7571
0.5000 0.5000 0.0000
0.5000 0.5000 0.5000
```

Largest 10 diffraction maxima, low angle first, 10° ≤ 2θ ≤ 90°:
| 2θ (°) | d_spacing | I (rel.) |
| --- | --- | --- |
| 24.98 | 3.564 | 14 |
| 25.33 | 3.517 | 28 |
| 35.87 | 2.503 | 100 |
| 36.12 | 2.487 | 49 |
| 44.42 | 2.039 | 13 |
| 51.27 | 1.782 | 9 |
| 52.01 | 1.758 | 18 |
| 64.31 | 1.448 | 19 |
| 64.80 | 1.439 | 37 |
| 76.04 | 1.252 | 12 |